# 1
Cs2YMg2S4: theoretical X-ray diffraction stick pattern (copper Kα), based on a GGA-PBE-relaxed structure.
Intensities are scaled so that the largest is 100.

Top 10 peaks for 10 to 90 degrees two-theta, sorted by position:
2θ (°), d_spacing, I_rel
22.3, 3.979, 58
22.7, 3.925, 46
23.1, 3.844, 36
27.7, 3.217, 28
28.3, 3.159, 37
29.2, 3.055, 53
30.7, 2.908, 100
32.3, 2.776, 47
36.1, 2.488, 36
49.0, 1.859, 35

Atomic structure:
```
Cs2YMg2S4
1.0
7.8337 -2.0629 0.0000
7.8337 2.0629 0.0000
-2.3811 0.0000 7.8502
Cs Y Mg S
2 1 2 4
direct
0.1270 0.1270 0.0348 Cs
0.8730 0.8730 0.9652 Cs
0.0000 0.0000 0.5000 Y
0.3285 0.3285 0.5237 Mg
0.6715 0.6715 0.4763 Mg
0.1982 0.1982 0.6508 S
0.4766 0.4766 0.7195 S
0.5234 0.5234 0.2805 S
0.8018 0.8018 0.3492 S
```

---

# 2
RbCd4P3: theoretical X-ray diffraction stick pattern (copper Kα), based on a GGA-PBE-relaxed structure.
Intensities are scaled so that the largest is 100.

Top 10 peaks for 10 to 90 degrees two-theta, sorted by position:
2θ (°), d_spacing, I_rel
26.3, 3.393, 100
33.8, 2.654, 56
36.5, 2.460, 12
39.6, 2.279, 20
40.9, 2.206, 57
49.3, 1.849, 18
54.1, 1.696, 14
56.0, 1.642, 20
65.9, 1.417, 14
70.0, 1.345, 13

Atomic structure:
```
RbCd4P3
1.0
2.2057 1.2735 12.3009
-2.2057 1.2735 12.3009
0.0000 -2.5469 12.3009
Rb Cd P
1 4 3
direct
0.0000 0.0000 0.0000 Rb
0.1972 0.1972 0.1972 Cd
0.4122 0.4122 0.4122 Cd
0.5878 0.5878 0.5878 Cd
0.8028 0.8028 0.8028 Cd
0.2678 0.2678 0.2678 P
0.5000 0.5000 0.5000 P
0.7322 0.7322 0.7322 P
```

---

# 3
TmGe3Pd3: theoretical X-ray diffraction stick pattern (copper Kα), based on a GGA-PBE-relaxed structure.
Intensities are scaled so that the largest is 100.

Top 10 peaks for 10 to 90 degrees two-theta, sorted by position:
2θ (°), d_spacing, I_rel
26.3, 3.388, 43
32.4, 2.767, 100
46.4, 1.956, 14
50.4, 1.811, 57
54.1, 1.694, 24
61.2, 1.515, 16
64.5, 1.445, 14
77.1, 1.237, 16
80.1, 1.198, 15
89.1, 1.099, 17

Atomic structure:
```
TmGe3Pd3
1.0
6.7770 0.0000 0.0000
0.0000 6.7770 0.0000
0.0000 0.0000 6.7770
Tm Ge Pd
2 6 6
direct
0.0000 0.0000 0.0000 Tm
0.5000 0.5000 0.5000 Tm
0.0000 0.2500 0.5000 Ge
0.0000 0.7500 0.5000 Ge
0.2500 0.5000 0.0000 Ge
0.5000 0.0000 0.2500 Ge
0.5000 0.0000 0.7500 Ge
0.7500 0.5000 0.0000 Ge
0.0000 0.5000 0.2500 Pd
0.0000 0.5000 0.7500 Pd
0.2500 0.0000 0.5000 Pd
0.5000 0.2500 0.0000 Pd
0.5000 0.7500 0.0000 Pd
0.7500 0.0000 0.5000 Pd
```

---

# 4
ErTh2Au3: theoretical X-ray diffraction stick pattern (copper Kα), based on a GGA-PBE-relaxed structure.
Intensities are scaled so that the largest is 100.

Top 10 peaks for 10 to 90 degrees two-theta, sorted by position:
2θ (°), d_spacing, I_rel
33.2, 2.699, 21
34.9, 2.572, 100
48.9, 1.863, 14
51.5, 1.775, 7
60.4, 1.532, 13
62.5, 1.486, 15
62.6, 1.483, 7
63.7, 1.462, 7
73.7, 1.285, 9
86.2, 1.128, 6

Atomic structure:
```
ErTh2Au3
1.0
5.1506 0.0000 0.0000
0.0000 16.1954 0.0000
0.0000 0.0000 3.5505
Er Th Au
2 4 6
direct
0.2500 0.2500 0.0037 Er
0.7500 0.7500 0.9963 Er
0.2500 0.5793 0.9943 Th
0.2500 0.9207 0.9943 Th
0.7500 0.0793 0.0057 Th
0.7500 0.4207 0.0057 Th
0.2500 0.0980 0.5046 Au
0.2500 0.4020 0.5046 Au
0.2500 0.7500 0.4972 Au
0.7500 0.2500 0.5028 Au
0.7500 0.5980 0.4954 Au
0.7500 0.9020 0.4954 Au
```

---

# 5
Na3AlF6: theoretical X-ray diffraction stick pattern (copper Kα), based on a GGA-PBE-relaxed structure.
Intensities are scaled so that the largest is 100.

Top 10 peaks for 10 to 90 degrees two-theta, sorted by position:
2θ (°), d_spacing, I_rel
19.6, 4.518, 78
27.8, 3.207, 38
31.1, 2.876, 22
31.3, 2.860, 20
34.1, 2.627, 21
44.8, 2.024, 27
47.0, 1.935, 100
49.6, 1.838, 16
61.1, 1.517, 16
65.3, 1.430, 18

Atomic structure:
```
Na3AlF6
1.0
4.5514 2.6277 3.6759
-4.5514 2.6277 3.6759
0.0000 -5.2555 3.6759
Na Al F
6 2 12
direct
0.0732 0.7500 0.4268 Na
0.2500 0.5732 0.9268 Na
0.4268 0.0732 0.7500 Na
0.5732 0.9268 0.2500 Na
0.7500 0.4268 0.0732 Na
0.9268 0.2500 0.5732 Na
0.0000 0.0000 0.0000 Al
0.5000 0.5000 0.5000 Al
0.0523 0.9466 0.7239 F
0.0534 0.2761 0.9477 F
0.2239 0.4466 0.5523 F
0.2761 0.9477 0.0534 F
0.4466 0.5523 0.2239 F
0.4477 0.7761 0.5534 F
0.5523 0.2239 0.4466 F
0.5534 0.4477 0.7761 F
0.7239 0.0523 0.9466 F
0.7761 0.5534 0.4477 F
0.9466 0.7239 0.0523 F
0.9477 0.0534 0.2761 F
```

---

# 6
ErNp2Si6: theoretical X-ray diffraction stick pattern (copper Kα), based on a GGA-PBE-relaxed structure.
Intensities are scaled so that the largest is 100.

Top 10 peaks for 10 to 90 degrees two-theta, sorted by position:
2θ (°), d_spacing, I_rel
23.3, 3.812, 18
25.4, 3.512, 63
34.7, 2.583, 100
44.7, 2.028, 31
51.0, 1.790, 14
52.1, 1.756, 9
54.8, 1.675, 16
57.8, 1.595, 24
67.4, 1.389, 19
75.9, 1.254, 22

Atomic structure:
```
ErNp2Si6
1.0
7.0244 0.0000 0.0000
-3.5122 6.0833 0.0000
0.0000 0.0000 3.8118
Er Np Si
1 2 6
direct
0.0000 0.0000 0.0000 Er
0.3333 0.6667 0.0000 Np
0.6667 0.3333 0.0000 Np
0.0000 0.3335 0.5000 Si
0.0000 0.6665 0.5000 Si
0.3335 0.0000 0.5000 Si
0.3335 0.3335 0.5000 Si
0.6665 0.0000 0.5000 Si
0.6665 0.6665 0.5000 Si
```

---

# 7
Ac6IrPb5: theoretical X-ray diffraction stick pattern (copper Kα), based on a GGA-PBE-relaxed structure.
Intensities are scaled so that the largest is 100.

Top 10 peaks for 10 to 90 degrees two-theta, sorted by position:
2θ (°), d_spacing, I_rel
26.8, 3.330, 79
27.2, 3.284, 100
29.0, 3.083, 22
30.0, 2.977, 20
30.5, 2.934, 17
34.6, 2.595, 20
34.8, 2.578, 23
35.6, 2.520, 39
41.2, 2.191, 38
55.2, 1.665, 17

Atomic structure:
```
Ac6IrPb5
1.0
4.7507 -6.3894 0.0000
4.7507 6.3894 0.0000
-1.9661 0.0000 7.4079
Ac Ir Pb
6 1 5
direct
0.0460 0.3633 0.7122 Ac
0.1823 0.1823 0.2273 Ac
0.3633 0.0460 0.7122 Ac
0.6367 0.9540 0.2878 Ac
0.8177 0.8177 0.7727 Ac
0.9540 0.6367 0.2878 Ac
0.0000 0.0000 0.5000 Ir
0.2223 0.7777 0.0000 Pb
0.3776 0.6224 0.5000 Pb
0.5000 0.5000 0.0000 Pb
0.6224 0.3776 0.5000 Pb
0.7777 0.2223 0.0000 Pb
```

---

# 8
Cu2Ni3Ir: theoretical X-ray diffraction stick pattern (copper Kα), based on a GGA-PBE-relaxed structure.
Intensities are scaled so that the largest is 100.

Top 10 peaks for 10 to 90 degrees two-theta, sorted by position:
2θ (°), d_spacing, I_rel
22.0, 4.039, 15
23.2, 3.826, 6
27.1, 3.294, 9
27.6, 3.236, 10
43.2, 2.092, 100
50.0, 1.825, 16
50.6, 1.805, 31
73.8, 1.283, 19
89.2, 1.098, 12
90.0, 1.090, 12

Atomic structure:
```
Cu2Ni3Ir
1.0
0.0000 3.6501 7.6519
2.5556 0.0000 7.6519
2.5556 3.6501 0.0000
Cu Ni Ir
4 6 2
direct
0.0402 0.0402 0.7098 Cu
0.2902 0.2902 0.9598 Cu
0.7098 0.7098 0.0402 Cu
0.9598 0.9598 0.2902 Cu
0.1250 0.1250 0.1250 Ni
0.2078 0.2078 0.5422 Ni
0.4578 0.4578 0.7922 Ni
0.5422 0.5422 0.2078 Ni
0.7922 0.7922 0.4578 Ni
0.8750 0.8750 0.8750 Ni
0.3750 0.3750 0.3750 Ir
0.6250 0.6250 0.6250 Ir
```